1.
# Li2AuI
Calculated XRD peak list, Cu Kα, 1.54184 Å. Input: a DFT-relaxed cell (PBE, Alexandria).
Neutral-atom scattering factors, no anomalous dispersion.

```
data_Li2AuI
_space_group_name_H-M_alt 'R -3 m'
_space_group_IT_number 166
_space_group_name_Hall '-R 3 2"'
_cell_length_a 4.0873
_cell_length_b 4.0873
_cell_length_c 23.7548
_cell_angle_alpha 90.00
_cell_angle_beta 90.00
_cell_angle_gamma 120.00
loop_
_atom_site_label
_atom_site_fract_x
_atom_site_fract_y
_atom_site_fract_z
_atom_site_occupancy
Li1 0.0000 0.0000 0.1072 1
Au1 0.0000 0.0000 0.5000 1
I1 0.0000 0.0000 0.0000 1
```

Peak list (10 most intense, 2θ from 10° to 80°, by angle)
- 2θ 22.46, intensity 46, hkl 0 0 6
- 2θ 26.27, intensity 100, hkl 0 1 2
- 2θ 29.37, intensity 70, hkl 1 0 4
- 2θ 39.62, intensity 35, hkl 0 1 8
- 2θ 44.32, intensity 26, hkl 1 1 0
- 2θ 46.01, intensity 23, hkl 1 0 10
- 2θ 50.24, intensity 33, hkl 1 1 6
- 2θ 52.26, intensity 15, hkl 2 0 2
- 2θ 54.07, intensity 13, hkl 0 2 4
- 2θ 65.67, intensity 15, hkl 1 1 12

=====

2.
# NpBi2O6
Calculated XRD peak list, Cu Kα, 1.54184 Å. Input: a DFT-relaxed cell (PBE, Alexandria).
Neutral-atom scattering factors, no anomalous dispersion.

```
data_NpBi2O6
_space_group_name_H-M_alt 'P 1 21/c 1'
_space_group_IT_number 14
_space_group_name_Hall '-P 2ybc'
_cell_length_a 5.9778
_cell_length_b 5.2422
_cell_length_c 11.6808
_cell_angle_alpha 90.00
_cell_angle_beta 120.73
_cell_angle_gamma 90.00
loop_
_atom_site_label
_atom_site_fract_x
_atom_site_fract_y
_atom_site_fract_z
_atom_site_occupancy
Np1 0.0000 0.0000 0.0000 1
Bi1 0.2987 0.0010 0.7992 1
O1 0.0000 0.2218 0.1585 1
O2 0.2756 0.1934 0.0013 1
O3 0.3123 0.7232 0.6583 1
```

Peak list (10 most intense, 2θ from 10° to 80°, by angle)
- 2θ 19.10, intensity 60, hkl 0 1 1
- 2θ 28.80, intensity 100, hkl 1 1 1
- 2θ 29.89, intensity 24, hkl 2 0 -2
- 2θ 30.61, intensity 36, hkl 1 0 -4
- 2θ 35.73, intensity 27, hkl 0 0 4
- 2θ 46.06, intensity 21, hkl 2 2 -2
- 2θ 46.55, intensity 16, hkl 1 2 2
- 2θ 48.55, intensity 17, hkl 0 1 5
- 2θ 52.39, intensity 21, hkl 3 1 -1
- 2θ 58.00, intensity 25, hkl 2 1 3

=====

3.
# Ac6Ir2RhAu
Calculated XRD peak list, Cu Kα, 1.54184 Å. Input: a DFT-relaxed cell (PBE, Alexandria).
Neutral-atom scattering factors, no anomalous dispersion.

```
data_Ac6Ir2RhAu
_space_group_name_H-M_alt 'P 1'
_space_group_IT_number 1
_space_group_name_Hall 'P 1'
_cell_length_a 7.6228
_cell_length_b 7.6249
_cell_length_c 8.2653
_cell_angle_alpha 90.04
_cell_angle_beta 117.45
_cell_angle_gamma 119.93
loop_
_atom_site_label
_atom_site_fract_x
_atom_site_fract_y
_atom_site_fract_z
_atom_site_occupancy
Ac1 0.0000 0.0000 0.0000 1
Ac2 0.0009 0.7910 0.4869 1
Ac3 0.3490 0.4768 0.4873 1
Ac4 0.3869 0.6543 0.0006 1
Ac5 0.6535 0.2671 0.0002 1
Ac6 0.6634 0.1389 0.4870 1
Ir1 0.4941 0.8807 0.7215 1
Ir2 0.5033 0.3853 0.2355 1
Rh1 0.8623 0.0647 0.2734 1
Au1 0.8684 0.5674 0.7827 1
```

Peak list (10 most intense, 2θ from 10° to 80°, by angle)
- 2θ 15.85, intensity 19, hkl 1 0 0
- 2θ 26.62, intensity 100, hkl -1 2 1
- 2θ 32.02, intensity 11, hkl 2 0 0
- 2θ 34.80, intensity 67, hkl 1 1 1
- 2θ 40.99, intensity 47, hkl 3 0 -2
- 2θ 45.59, intensity 24, hkl -1 2 3
- 2θ 49.55, intensity 17, hkl 2 2 -1
- 2θ 54.84, intensity 17, hkl -2 4 2
- 2θ 68.51, intensity 18, hkl -3 3 5
- 2θ 70.67, intensity 12, hkl 1 4 0